No. 1
Calculated powder X-ray diffraction pattern of AcSmCuPt for Cu Kα (λ = 1.5418 Å), from a cell relaxed with PBE.
No peak broadening, texture or thermal motion is included.

Crystal structure
```
8
Lattice="4.584 0.000 0.000 0.000 4.025 0.000 0.000 0.000 11.167" Properties=species:S:1:pos:R:3 pbc="T T T"
Ac 0.000 0.000 0.000
Ac 0.000 2.013 5.584
Sm 2.292 0.000 8.101
Sm 2.292 2.013 2.517
Cu 2.292 0.000 4.799
Cu 2.292 2.013 10.382
Pt 0.000 0.000 3.130
Pt 0.000 2.013 8.714
```

Principal peaks in the range 5 to 70 degrees two-theta, in order of rising 2θ:
30.62°, I 100.0; 32.06°, I 29.1; 32.77°, I 35.5; 37.73°, I 25.1; 38.34°, I 68.1; 39.31°, I 30.7



No. 2
Calculated powder X-ray diffraction pattern of Ac2Zn3Cu12Pt for Cu Kα (λ = 1.5418 Å), from a cell relaxed with PBE.
No peak broadening, texture or thermal motion is included.

Crystal structure
```
18
Lattice="4.074 2.352 6.418 -4.074 2.352 6.418 0.000 -4.704 6.418" Properties=species:S:1:pos:R:3 pbc="T T T"
Ac 0.000 0.000 2.060
Ac 0.000 0.000 17.193
Zn -2.037 -1.176 6.418
Zn -2.037 1.176 12.835
Zn 0.000 2.352 6.418
Cu -1.988 -1.148 8.939
Cu 0.000 -1.496 5.040
Cu -1.296 0.748 5.040
Cu 0.000 -2.296 10.313
Cu -1.988 1.148 10.313
Cu 1.296 0.748 5.040
Cu -1.296 -0.748 14.212
Cu 1.988 -1.148 8.939
Cu 0.000 2.296 8.939
Cu 1.296 -0.748 14.212
Cu 0.000 1.496 14.212
Cu 1.988 1.148 10.313
Pt 0.000 0.000 9.626
```

Principal peaks in the range 5 to 70 degrees two-theta, in order of rising 2θ:
21.82°, I 54.6; 26.37°, I 100.0; 26.91°, I 42.4; 41.17°, I 54.1; 44.48°, I 64.7; 45.63°, I 52.6



No. 3
Calculated powder X-ray diffraction pattern of Rb2AcCu2Se4 for Cu Kα (λ = 1.5418 Å), from a cell relaxed with PBE.
No peak broadening, texture or thermal motion is included.

Crystal structure
```
9
Lattice="8.094 -2.141 0.000 8.094 2.141 0.000 -3.126 0.000 7.833" Properties=species:S:1:pos:R:3 pbc="T T T"
Rb 1.904 0.000 0.560
Rb 11.158 0.000 7.273
Ac -1.563 0.000 3.917
Cu 3.617 0.000 4.068
Cu 9.445 0.000 3.765
Se 1.338 0.000 5.093
Se 5.407 0.000 5.820
Se 7.655 0.000 2.013
Se 11.724 0.000 2.740
```

Principal peaks in the range 5 to 70 degrees two-theta, in order of rising 2θ:
11.30°, I 73.1; 27.01°, I 24.0; 29.87°, I 100.0; 31.22°, I 27.4; 32.22°, I 32.4; 34.74°, I 26.0



No. 4
Calculated powder X-ray diffraction pattern of AcCu3Rh2 for Cu Kα (λ = 1.5418 Å), from a cell relaxed with PBE.
No peak broadening, texture or thermal motion is included.

Crystal structure
```
12
Lattice="4.780 -4.195 0.000 4.780 4.195 0.000 0.000 0.000 5.369" Properties=species:S:1:pos:R:3 pbc="T T T"
Ac 4.780 2.623 4.027
Ac 4.780 -2.623 1.342
Cu 2.997 2.214 1.342
Cu 6.564 2.214 1.342
Cu 4.780 0.495 1.342
Cu 4.780 -0.495 4.027
Cu 2.997 -2.214 4.027
Cu 6.564 -2.214 4.027
Rh 2.625 0.000 0.000
Rh 2.625 0.000 2.685
Rh 6.936 0.000 0.000
Rh 6.936 0.000 2.685
```

Principal peaks in the range 5 to 70 degrees two-theta, in order of rising 2θ:
21.74°, I 50.3; 32.94°, I 57.5; 33.38°, I 58.9; 34.43°, I 100.0; 38.46°, I 60.9; 39.87°, I 72.4



No. 5
Calculated powder X-ray diffraction pattern of Ac2Cu5Rh for Cu Kα (λ = 1.5418 Å), from a cell relaxed with PBE.
No peak broadening, texture or thermal motion is included.

Crystal structure
```
16
Lattice="2.148 -8.142 0.000 2.148 8.142 0.000 0.000 0.000 9.034" Properties=species:S:1:pos:R:3 pbc="T T T"
Ac 0.000 0.000 0.000
Ac 0.000 0.000 4.517
Ac 2.148 4.899 6.775
Ac 2.148 -4.899 2.258
Cu 2.148 5.214 1.041
Cu 2.148 5.214 3.475
Cu 2.148 2.542 0.095
Cu 2.148 2.542 4.422
Cu 2.148 1.670 6.775
Cu 2.148 -1.670 2.258
Cu 2.148 -2.542 4.612
Cu 2.148 -2.542 8.938
Cu 2.148 -5.214 5.558
Cu 2.148 -5.214 7.992
Rh 2.148 0.983 2.258
Rh 2.148 -0.983 6.775
```

Principal peaks in the range 5 to 70 degrees two-theta, in order of rising 2θ:
22.51°, I 24.7; 29.21°, I 26.6; 33.18°, I 100.0; 34.55°, I 73.9; 36.87°, I 29.7; 42.07°, I 35.8



No. 6
Calculated powder X-ray diffraction pattern of Ac2Cu5Rh5 for Cu Kα (λ = 1.5418 Å), from a cell relaxed with PBE.
No peak broadening, texture or thermal motion is included.

Crystal structure
```
12
Lattice="4.107 0.000 0.000 0.000 5.481 0.000 0.000 0.000 9.226" Properties=species:S:1:pos:R:3 pbc="T T T"
Ac 0.000 0.000 0.000
Ac 0.000 2.741 4.613
Cu 0.000 0.000 3.077
Cu 0.000 0.000 6.149
Cu 0.000 2.741 1.516
Cu 0.000 2.741 7.710
Cu 2.053 2.741 0.000
Rh 2.053 0.000 4.613
Rh 2.053 1.382 2.272
Rh 2.053 1.382 6.954
Rh 2.053 4.099 2.272
Rh 2.053 4.099 6.954
```

Principal peaks in the range 5 to 70 degrees two-theta, in order of rising 2θ:
28.84°, I 68.2; 29.11°, I 45.5; 38.20°, I 58.8; 39.53°, I 61.1; 40.16°, I 100.0; 44.10°, I 41.4



No. 7
Calculated powder X-ray diffraction pattern of Ac8CuRh4 for Cu Kα (λ = 1.5418 Å), from a cell relaxed with PBE.
No peak broadening, texture or thermal motion is included.

Crystal structure
```
13
Lattice="10.568 -2.200 0.000 10.568 2.200 0.000 -9.944 0.000 10.720" Properties=species:S:1:pos:R:3 pbc="T T T"
Ac 0.000 0.000 0.000
Ac -7.114 0.000 7.815
Ac -2.952 0.000 10.017
Ac 0.010 0.000 7.188
Ac 3.599 0.000 4.237
Ac 6.868 0.000 6.632
Ac 14.233 0.000 0.588
Ac 17.477 0.000 2.975
Cu 12.056 0.000 5.313
Rh 5.305 0.000 1.729
Rh 2.090 0.000 9.371
Rh 9.053 0.000 8.623
Rh 15.883 0.000 5.458
```

Principal peaks in the range 5 to 70 degrees two-theta, in order of rising 2θ:
8.25°, I 31.2; 11.42°, I 31.0; 26.61°, I 87.8; 27.31°, I 100.0; 41.03°, I 34.2; 43.18°, I 49.5



No. 8
Calculated powder X-ray diffraction pattern of AcCuRh for Cu Kα (λ = 1.5418 Å), from a cell relaxed with PBE.
No peak broadening, texture or thermal motion is included.

Crystal structure
```
3
Lattice="4.368 0.000 0.000 -2.184 3.783 0.000 0.000 0.000 4.160" Properties=species:S:1:pos:R:3 pbc="T T T"
Ac 0.000 0.000 0.000
Cu 0.000 2.522 2.080
Rh 2.184 1.261 2.080
```

Principal peaks in the range 5 to 70 degrees two-theta, in order of rising 2θ:
23.52°, I 20.3; 31.98°, I 100.0; 41.34°, I 40.6; 53.20°, I 24.1; 61.57°, I 24.9; 69.52°, I 21.6



No. 9
Calculated powder X-ray diffraction pattern of Ac2CuRh3 for Cu Kα (λ = 1.5418 Å), from a cell relaxed with PBE.
No peak broadening, texture or thermal motion is included.

Crystal structure
```
12
Lattice="0.000 4.367 7.520 4.232 0.000 7.520 4.232 4.367 0.000" Properties=species:S:1:pos:R:3 pbc="T T T"
Ac 6.363 4.367 7.520
Ac 2.116 2.183 3.760
Ac 6.348 6.550 11.280
Ac 2.101 4.367 7.520
Cu 4.232 4.367 5.000
Cu 4.232 4.367 10.040
Rh 4.232 4.367 2.547
Rh 4.232 2.251 6.230
Rh 4.232 2.251 8.810
Rh 4.232 6.483 6.230
Rh 4.232 6.483 8.810
Rh 4.232 4.367 12.493
```

Principal peaks in the range 5 to 70 degrees two-theta, in order of rising 2θ:
31.78°, I 100.0; 41.35°, I 13.8; 41.54°, I 27.3; 42.73°, I 12.7; 53.11°, I 16.0; 61.12°, I 17.4



No. 10
Calculated powder X-ray diffraction pattern of Ac2CuSb4Rh3 for Cu Kα (λ = 1.5418 Å), from a cell relaxed with PBE.
No peak broadening, texture or thermal motion is included.

Crystal structure
```
10
Lattice="4.679 0.000 0.000 0.000 4.679 0.000 0.000 0.000 10.505" Properties=species:S:1:pos:R:3 pbc="T T T"
Ac 0.000 2.339 2.550
Ac 2.339 0.000 7.955
Cu 2.339 2.339 0.000
Sb 0.000 0.000 5.253
Sb 0.000 2.339 9.170
Sb 2.339 0.000 1.335
Sb 2.339 2.339 5.253
Rh 0.000 0.000 0.000
Rh 0.000 2.339 6.519
Rh 2.339 0.000 3.986
```

Principal peaks in the range 5 to 70 degrees two-theta, in order of rising 2θ:
31.95°, I 100.0; 38.48°, I 39.8; 47.43°, I 14.1; 50.83°, I 24.4; 55.55°, I 13.6; 65.54°, I 19.7



No. 11
Calculated powder X-ray diffraction pattern of AcCuSi2Rh for Cu Kα (λ = 1.5418 Å), from a cell relaxed with PBE.
No peak broadening, texture or thermal motion is included.

Crystal structure
```
10
Lattice="4.289 0.000 0.000 0.000 4.289 0.000 0.000 0.000 10.123" Properties=species:S:1:pos:R:3 pbc="T T T"
Ac 0.000 0.000 0.000
Ac 2.145 2.145 5.061
Cu 0.000 2.145 2.531
Cu 2.145 0.000 7.592
Si 0.000 0.000 3.761
Si 0.000 0.000 6.361
Si 2.145 2.145 1.300
Si 2.145 2.145 8.823
Rh 0.000 2.145 7.592
Rh 2.145 0.000 2.531
```

Principal peaks in the range 5 to 70 degrees two-theta, in order of rising 2θ:
22.51°, I 61.8; 33.80°, I 48.2; 34.48°, I 100.0; 42.14°, I 37.9; 55.07°, I 24.4; 56.22°, I 18.4



No. 12
Calculated powder X-ray diffraction pattern of Ac2UCuRh6 for Cu Kα (λ = 1.5418 Å), from a cell relaxed with PBE.
No peak broadening, texture or thermal motion is included.

Crystal structure
```
10
Lattice="0.000 4.799 4.799 4.799 0.000 4.799 4.799 4.799 0.000" Properties=species:S:1:pos:R:3 pbc="T T T"
Ac 2.400 2.400 2.400
Ac 7.199 7.199 7.199
U 0.000 0.000 0.000
Cu 4.799 4.799 4.799
Rh 4.799 4.799 2.413
Rh 4.799 2.413 4.799
Rh 7.186 4.799 4.799
Rh 2.413 4.799 4.799
Rh 4.799 7.186 4.799
Rh 4.799 4.799 7.186
```

Principal peaks in the range 5 to 70 degrees two-theta, in order of rising 2θ:
26.26°, I 72.6; 32.31°, I 64.2; 37.48°, I 100.0; 46.34°, I 33.0; 54.04°, I 69.6; 64.38°, I 26.1